(1)
LaNd2Ho4Th: computed powder XRD pattern (Cu Kα X-rays), based on a DFT-relaxed cell (PBE, Alexandria).

Peak list (8 most intense, 2θ = 5–70°, low angle first)
two_theta, d/Å, intensity
29.5, 3.024, 44
31.0, 2.888, 34
32.5, 2.754, 100
37.0, 2.430, 24
50.5, 1.809, 26
56.1, 1.640, 21
60.4, 1.534, 20
61.4, 1.511, 11

Cell and atoms:
Cell: 6.2730 3.6135 11.5535 Å, 90.00 90.07 90.00°
Sites, in units of the cell vectors:
La 0.0000 0.0000 0.0000
Nd 0.0000 0.0000 0.5000
Nd 0.5000 0.5000 0.0000
Ho 0.1713 0.5000 0.2525
Ho 0.3365 0.0000 0.7442
Ho 0.6635 0.0000 0.2558
Ho 0.8287 0.5000 0.7475
Th 0.5000 0.5000 0.5000

(2)
LaNdY2Ho: computed powder XRD pattern (Cu Kα X-rays), based on a DFT-relaxed cell (PBE, Alexandria).

Peak list (8 most intense, 2θ = 5–70°, low angle first)
two_theta, d/Å, intensity
20.4, 4.358, 27
25.8, 3.447, 17
31.0, 2.885, 100
31.8, 2.816, 34
34.7, 2.582, 16
35.9, 2.503, 19
56.1, 1.639, 19
61.2, 1.514, 19

Cell and atoms:
Cell: 3.6402 5.6317 8.7165 Å, 90.00 90.00 90.00°
Sites, in units of the cell vectors:
La 0.0000 0.0000 0.0000
Nd 0.5000 0.0000 0.5000
Y 0.0000 0.5000 0.3174
Y 0.0000 0.5000 0.6826
Ho 0.5000 0.5000 0.0000

(3)
La2Nd2YHo: computed powder XRD pattern (Cu Kα X-rays), based on a DFT-relaxed cell (PBE, Alexandria).

Peak list (8 most intense, 2θ = 5–70°, low angle first)
two_theta, d/Å, intensity
24.9, 3.577, 11
30.7, 2.909, 84
31.0, 2.886, 100
40.2, 2.246, 19
44.2, 2.049, 31
55.0, 1.670, 32
55.1, 1.666, 19
60.9, 1.520, 29

Cell and atoms:
Cell: 7.1532 5.7655 10.0079 Å, 90.00 90.00 90.00°
Sites, in units of the cell vectors:
La 0.0000 0.0000 0.0000
La 0.2500 0.5000 0.1753
La 0.5000 0.0000 0.0000
La 0.7500 0.5000 0.8247
Nd 0.2500 0.0000 0.3313
Nd 0.2500 0.5000 0.8353
Nd 0.7500 0.0000 0.6687
Nd 0.7500 0.5000 0.1647
Y 0.0000 0.5000 0.5000
Y 0.5000 0.5000 0.5000
Ho 0.2500 0.0000 0.6571
Ho 0.7500 0.0000 0.3429

(4)
LaNd2Y4Ho2: computed powder XRD pattern (Cu Kα X-rays), based on a DFT-relaxed cell (PBE, Alexandria).

Peak list (8 most intense, 2θ = 5–70°, low angle first)
two_theta, d/Å, intensity
10.7, 8.295, 22
29.6, 3.022, 42
31.2, 2.863, 50
31.4, 2.853, 59
31.5, 2.840, 100
31.7, 2.819, 52
46.6, 1.948, 19
57.3, 1.609, 18

Cell and atoms:
Cell: 6.0464 6.6869 8.8252 Å, 82.60 70.07 64.40°
Sites, in units of the cell vectors:
La 0.0000 0.0000 0.0000
Nd 0.0850 0.3207 0.6510
Nd 0.9150 0.6793 0.3490
Y 0.3675 0.1381 0.2407
Y 0.3834 0.4199 0.8790
Y 0.6166 0.5801 0.1210
Y 0.6325 0.8619 0.7593
Ho 0.2673 0.7691 0.5479
Ho 0.7327 0.2309 0.4521

(5)
LaHo4Ni4: computed powder XRD pattern (Cu Kα X-rays), based on a DFT-relaxed cell (PBE, Alexandria).

Peak list (8 most intense, 2θ = 5–70°, low angle first)
two_theta, d/Å, intensity
28.1, 3.177, 71
32.8, 2.733, 100
33.8, 2.654, 49
45.3, 2.004, 23
47.0, 1.932, 33
50.2, 1.818, 23
54.8, 1.675, 18
55.7, 1.651, 21

Cell and atoms:
Cell: 8.6416 8.6416 5.5773 Å, 90.00 90.00 90.00°
Sites, in units of the cell vectors:
La 0.2500 0.2500 0.2500
La 0.7500 0.7500 0.7500
Ho 0.0742 0.6592 0.1564
Ho 0.1592 0.9258 0.6564
Ho 0.3408 0.5742 0.6564
Ho 0.4258 0.8408 0.1564
Ho 0.5742 0.1592 0.8436
Ho 0.6592 0.4258 0.3436
Ho 0.8408 0.0742 0.3436
Ho 0.9258 0.3408 0.8436
Ni 0.0325 0.6132 0.6453
Ni 0.1132 0.9675 0.1453
Ni 0.3868 0.5325 0.1453
Ni 0.4675 0.8868 0.6453
Ni 0.5325 0.1132 0.3547
Ni 0.6132 0.4675 0.8547
Ni 0.8868 0.0325 0.8547
Ni 0.9675 0.3868 0.3547

(6)
LaHo2Ni9: computed powder XRD pattern (Cu Kα X-rays), based on a DFT-relaxed cell (PBE, Alexandria).

Peak list (8 most intense, 2θ = 5–70°, low angle first)
two_theta, d/Å, intensity
34.5, 2.597, 73
35.8, 2.506, 55
42.0, 2.151, 35
42.4, 2.131, 100
44.3, 2.043, 19
45.0, 2.014, 29
63.6, 1.464, 25
68.9, 1.362, 35

Cell and atoms:
Cell: 5.0116 5.0116 16.2089 Å, 90.00 90.00 120.00°
Sites, in units of the cell vectors:
La 0.3333 0.6667 0.2500
La 0.6667 0.3333 0.7500
Ho 0.3333 0.6667 0.0401
Ho 0.3333 0.6667 0.4599
Ho 0.6667 0.3333 0.5401
Ho 0.6667 0.3333 0.9599
Ni 0.0000 0.0000 0.0000
Ni 0.0000 0.0000 0.2500
Ni 0.0000 0.0000 0.5000
Ni 0.0000 0.0000 0.7500
Ni 0.1675 0.3350 0.6242
Ni 0.1675 0.3350 0.8758
Ni 0.1675 0.8325 0.6242
Ni 0.1675 0.8325 0.8758
Ni 0.3333 0.6667 0.7500
Ni 0.3350 0.1675 0.1242
Ni 0.3350 0.1675 0.3758
Ni 0.6650 0.8325 0.6242
Ni 0.6650 0.8325 0.8758
Ni 0.6667 0.3333 0.2500
Ni 0.8325 0.1675 0.1242
Ni 0.8325 0.1675 0.3758
Ni 0.8325 0.6650 0.1242
Ni 0.8325 0.6650 0.3758

(7)
LaHo2Ni9: computed powder XRD pattern (Cu Kα X-rays), based on a DFT-relaxed cell (PBE, Alexandria).

Peak list (8 most intense, 2θ = 5–70°, low angle first)
two_theta, d/Å, intensity
33.0, 2.713, 47
35.9, 2.504, 50
36.0, 2.492, 34
41.8, 2.160, 36
42.4, 2.131, 100
45.8, 1.981, 17
46.0, 1.972, 16
68.9, 1.362, 32

Cell and atoms:
Cell: 8.6168 8.6168 8.6168 Å, 33.79 33.79 33.79°
Sites, in units of the cell vectors:
La 0.0000 0.0000 0.0000
Ho 0.1401 0.1401 0.1401
Ho 0.8599 0.8599 0.8599
Ni 0.0826 0.5846 0.5846
Ni 0.3329 0.3329 0.3329
Ni 0.4154 0.4154 0.9174
Ni 0.4154 0.9174 0.4154
Ni 0.5000 0.5000 0.5000
Ni 0.5846 0.0826 0.5846
Ni 0.5846 0.5846 0.0826
Ni 0.6671 0.6671 0.6671
Ni 0.9174 0.4154 0.4154

(8)
LaHoSi2O7: computed powder XRD pattern (Cu Kα X-rays), based on a DFT-relaxed cell (PBE, Alexandria).

Peak list (8 most intense, 2θ = 5–70°, low angle first)
two_theta, d/Å, intensity
12.2, 7.257, 73
26.1, 3.413, 86
26.5, 3.364, 100
27.0, 3.299, 45
28.4, 3.143, 32
29.1, 3.070, 47
33.1, 2.710, 32
44.6, 2.031, 28

Cell and atoms:
Cell: 5.4206 8.7869 13.9605 Å, 90.00 112.76 90.00°
Sites, in units of the cell vectors:
La 0.0372 0.1920 0.2766
La 0.0372 0.3080 0.7766
La 0.9628 0.6920 0.2234
La 0.9628 0.8080 0.7234
Ho 0.3880 0.1237 0.5906
Ho 0.3880 0.3763 0.0906
Ho 0.6120 0.6237 0.9094
Ho 0.6120 0.8763 0.4094
Si 0.2733 0.7493 0.0223
Si 0.2733 0.7507 0.5223
Si 0.4204 0.5013 0.6893
Si 0.4204 0.9987 0.1893
Si 0.5796 0.0013 0.8107
Si 0.5796 0.4987 0.3107
Si 0.7267 0.2493 0.4777
Si 0.7267 0.2507 0.9777
O 0.0087 0.6847 0.0378
O 0.0087 0.8153 0.5378
O 0.2364 0.5789 0.7462
O 0.2364 0.9211 0.2462
O 0.2523 0.7363 0.4029
O 0.2523 0.7637 0.9029
O 0.2666 0.0203 0.7285
O 0.2666 0.4797 0.2285
O 0.3308 0.1764 0.1759
O 0.3308 0.3236 0.6759
O 0.3748 0.5862 0.5797
O 0.3748 0.9138 0.0797
O 0.4762 0.1244 0.4283
O 0.4762 0.3756 0.9283
O 0.5238 0.6244 0.0717
O 0.5238 0.8756 0.5717
O 0.6252 0.0862 0.9203
O 0.6252 0.4138 0.4203
O 0.6692 0.6764 0.3241
O 0.6692 0.8236 0.8241
O 0.7334 0.5203 0.7715
O 0.7334 0.9797 0.2715
O 0.7477 0.2363 0.0971
O 0.7477 0.2637 0.5971
O 0.7636 0.0789 0.7538
O 0.7636 0.4211 0.2538
O 0.9913 0.1847 0.4622
O 0.9913 0.3153 0.9622